No. 1
This entry pairs a crystal structure of SrMn3I8 with its computed powder diffraction line list. Radiation: λ = 1.5418 Å (Cu Kα). Structure: a cell relaxed with GGA-PBE.

Cell and atoms:
Unit cell a=14.9962 b=8.6549 c=9.2054 alpha=90.00 beta=123.99 gamma=90.00
Space group C2/m (No. 12)
Symmetry-distinct sites (fractional):
Sr  0.0000  0.0000  0.0000
Mn  0.0000  0.5000  0.0000
Mn  0.2500  0.2500  0.0000
I  0.0133  0.2713  0.7752
I  0.2391  0.5000  0.2110
I  0.2420  0.5000  0.7754

Main lines, most intense first (2θ from 10° to 90°):
(2 2 -2), 2θ = 28.3°, intensity 100.0
(0 0 1), 2θ = 11.6°, intensity 55.4
(0 4 0), 2θ = 41.7°, intensity 50.7
(4 0 0), 2θ = 28.7°, intensity 49.8
(2 2 0), 2θ = 25.1°, intensity 48.5
(2 2 2), 2θ = 39.8°, intensity 35.2
(0 0 2), 2θ = 23.3°, intensity 26.0
(4 0 -2), 2θ = 24.9°, intensity 24.0
(4 0 -4), 2θ = 39.2°, intensity 17.1
(4 4 0), 2θ = 51.5°, intensity 17.0

---

No. 2
This entry pairs a crystal structure of SnBiSe2Cl with its computed powder diffraction line list. Radiation: λ = 1.5418 Å (Cu Kα). Structure: a cell relaxed with GGA-PBE.

Cell and atoms:
Unit cell a=8.0234 b=4.1306 c=10.8255 alpha=90.00 beta=103.87 gamma=90.00
Space group P2_1/m (No. 11)
Symmetry-distinct sites (fractional):
Sn  0.2344  0.2500  0.0464
Bi  0.2630  0.7500  0.4545
Se  0.0815  0.7500  0.1489
Se  0.4336  0.2500  0.3466
Cl  0.1647  0.2500  0.6096

Main lines, most intense first (2θ from 10° to 90°):
(1 1 -1), 2θ = 24.9°, intensity 100.0
(1 0 -1), 2θ = 12.4°, intensity 89.2
(0 2 0), 2θ = 43.8°, intensity 50.3
(2 1 -2), 2θ = 33.2°, intensity 50.1
(2 0 2), 2θ = 31.7°, intensity 46.0
(0 0 2), 2θ = 16.9°, intensity 45.8
(1 1 -3), 2θ = 33.4°, intensity 36.7
(0 1 4), 2θ = 40.7°, intensity 33.2
(3 1 -1), 2θ = 40.2°, intensity 28.1
(1 0 3), 2θ = 30.4°, intensity 26.6